Calculated powder diffractogram
Compound: LiMnP3O9
Radiation: copper Kα
Structure: a PBE+U-relaxed structure
Intensities are scaled so that the largest is 100.

Peak list (10 most intense, 2θ from 5° to 70°, by intensity)
| d/Å | Position (°2θ) | I_rel | index |
| --- | --- | --- | --- |
| 2.862 | 31.25 | 100 | 0 2 -1 |
| 4.751 | 18.68 | 82 | 1 -1 0 |
| 2.758 | 32.46 | 73 | 0 2 2 |
| 3.012 | 29.66 | 68 | 2 1 0 |
| 3.175 | 28.10 | 64 | 1 1 2 |
| 6.752 | 13.11 | 64 | 0 1 0 |
| 4.818 | 18.41 | 50 | 1 0 -1 |
| 3.137 | 28.45 | 46 | 1 0 -2 |
| 2.994 | 29.84 | 44 | 2 0 -1 |
| 3.112 | 28.69 | 43 | 2 0 1 |

Cell and atoms:
Lattice parameters (Å, degrees): 6.7255 6.8875 7.4432 78.84 86.93 89.11
Space group P-1 (No. 2)
Inequivalent atoms, fractional coordinates:
Li (0.1547, 0.0614, 0.1808) [2 per cell]
Mn (0.1653, 0.5803, 0.1457) [2 per cell]
P (0.1400, 0.7223, 0.5572) [2 per cell]
P (0.3263, 0.3807, 0.7786) [2 per cell]
P (0.3512, 0.9401, 0.8012) [2 per cell]
O (0.0460, 0.2911, 0.3180) [2 per cell]
O (0.1217, 0.7803, 0.3527) [2 per cell]
O (0.1632, 0.3952, 0.9266) [2 per cell]
O (0.1875, 0.8730, 0.9480) [2 per cell]
O (0.2536, 0.5111, 0.5883) [2 per cell]
O (0.2998, 0.8660, 0.6143) [2 per cell]
O (0.3172, 0.1722, 0.7200) [2 per cell]
O (0.4374, 0.1042, 0.1618) [2 per cell]
O (0.4689, 0.5607, 0.1901) [2 per cell]